(1)
Nd3GaTe4: simulated powder X-ray diffraction pattern (Cu Kα), based on DFT lattice parameters and positions (PBE).

```
Nd3GaTe4
1.0
10.476 0.000 0.000
0.000 9.532 0.000
0.000 0.000 6.307
Nd Ga Te
6 2 8
Cartesian
0.000 1.709 6.306
2.583 3.202 3.153
2.655 6.330 0.000
5.238 7.823 3.152
7.821 6.330 0.000
7.894 3.202 3.153
0.000 7.982 3.129
5.238 1.550 6.282
0.000 1.505 3.153
0.000 8.056 6.297
2.510 6.318 3.154
2.729 3.214 0.001
5.238 1.476 3.144
5.238 8.027 6.306
7.748 3.214 0.001
7.967 6.318 3.154
```

Peak list (12 most intense, 2θ = 10–90°, by angle)
18.62 deg, I 45; 19.34 deg, I 100; 28.30 deg, I 74; 32.97 deg, I 97; 34.09 deg, I 20; 34.24 deg, I 44; 34.51 deg, I 46; 43.99 deg, I 87; 44.99 deg, I 41; 60.50 deg, I 16; 68.11 deg, I 23; 68.85 deg, I 23

***

(2)
Nb8VRu2: simulated powder X-ray diffraction pattern (Cu Kα), based on DFT lattice parameters and positions (PBE).

```
Nb8VRu2
1.0
7.018 -2.650 0.000
7.018 2.650 0.000
-0.416 0.000 5.263
Nb V Ru
8 1 2
Cartesian
1.125 0.000 0.641
5.536 1.318 1.921
3.721 0.000 4.675
8.083 1.318 3.341
5.536 -1.318 1.921
9.899 0.000 0.587
8.083 -1.318 3.341
12.494 0.000 4.622
7.018 0.000 0.000
3.202 0.000 2.052
10.417 0.000 3.210
```

Peak list (12 most intense, 2θ = 10–90°, by angle)
35.49 deg, I 43; 36.27 deg, I 65; 37.45 deg, I 46; 38.01 deg, I 42; 38.61 deg, I 51; 39.76 deg, I 100; 41.08 deg, I 31; 41.39 deg, I 49; 41.70 deg, I 42; 42.81 deg, I 45; 44.27 deg, I 46; 65.19 deg, I 28

***

(3)
ScAl3Ag: simulated powder X-ray diffraction pattern (Cu Kα), based on DFT lattice parameters and positions (PBE).

```
ScAl3Ag
1.0
4.819 0.000 0.000
0.000 4.819 0.000
0.000 0.000 4.819
Sc Al Ag
1 3 1
Cartesian
0.000 0.000 0.000
0.000 2.409 2.409
2.409 0.000 2.409
2.409 2.409 0.000
2.409 2.409 2.409
```

Peak list (12 most intense, 2θ = 10–90°, by angle)
18.41 deg, I 61; 26.15 deg, I 100; 37.32 deg, I 64; 41.92 deg, I 29; 46.14 deg, I 40; 53.81 deg, I 42; 57.36 deg, I 14; 60.78 deg, I 17; 67.31 deg, I 14; 73.54 deg, I 18; 82.54 deg, I 8; 85.49 deg, I 9

***

(4)
SrZrTl2O6: simulated powder X-ray diffraction pattern (Cu Kα), based on DFT lattice parameters and positions (PBE).

```
SrZrTl2O6
1.0
2.932 1.693 5.154
-2.932 1.693 5.154
0.000 -3.385 5.154
Sr Zr Tl O
1 1 2 6
Cartesian
0.000 0.000 0.000
0.000 0.000 7.578
0.000 0.000 4.250
0.000 0.000 12.012
-1.579 -0.138 6.066
-1.049 -1.589 8.487
0.909 -1.299 6.066
-0.851 1.703 8.487
0.670 1.437 6.066
1.901 -0.114 8.487
```

Peak list (12 most intense, 2θ = 10–90°, by angle)
20.93 deg, I 48; 29.03 deg, I 100; 30.49 deg, I 90; 42.61 deg, I 40; 46.95 deg, I 31; 50.53 deg, I 16; 53.29 deg, I 41; 54.19 deg, I 26; 63.46 deg, I 12; 68.96 deg, I 12; 71.27 deg, I 16; 87.45 deg, I 11